# LiLa2CuBi4
Calculated XRD peak list, a wavelength of 1.5418 Å. Input: a PBE-relaxed structure.
Peak positions follow from Bragg's law for the DFT cell and can differ from measured ones.

Cell and atoms:
```
LiLa2CuBi4
1.0
4.6045 0.0000 0.0000
0.0000 4.6045 0.0000
0.0000 0.0000 10.3448
Li La Cu Bi
1 2 1 4
Direct
0.0000 0.0000 0.0000
0.0000 0.5000 0.2451
0.5000 0.0000 0.7549
0.5000 0.5000 0.0000
0.0000 0.0000 0.5000
0.0000 0.5000 0.8447
0.5000 0.0000 0.1553
0.5000 0.5000 0.5000
```

Most intense lines, 2θ from 15° to 90°, sorted by position:
2θ/deg, I_rel
25.9, 52
28.7, 47
32.5, 100
39.1, 43
47.5, 32
48.2, 16
56.5, 15
63.2, 12
63.8, 14
66.7, 24

---

# La2CuBiS5
Calculated XRD peak list, a wavelength of 1.5418 Å. Input: a PBE-relaxed structure.
Peak positions follow from Bragg's law for the DFT cell and can differ from measured ones.

Cell and atoms:
```
La2CuBiS5
1.0
12.0327 0.0000 0.0000
0.0000 3.9987 0.0000
0.0000 0.0000 17.0405
La Cu Bi S
8 4 4 20
Direct
0.0352 0.2500 0.1733
0.1261 0.7500 0.5976
0.3739 0.2500 0.0976
0.4648 0.7500 0.6733
0.5352 0.2500 0.3267
0.6261 0.7500 0.9024
0.8739 0.2500 0.4024
0.9648 0.7500 0.8267
0.0916 0.7500 0.9975
0.4084 0.2500 0.4975
0.5916 0.7500 0.5025
0.9084 0.2500 0.0025
0.1993 0.7500 0.3632
0.3007 0.2500 0.8632
0.6993 0.7500 0.1368
0.8007 0.2500 0.6368
0.0119 0.2500 0.7022
0.0850 0.2500 0.9252
0.1050 0.2500 0.4696
0.1920 0.7500 0.1109
0.2373 0.7500 0.7648
0.2627 0.2500 0.2648
0.3080 0.2500 0.6109
0.3950 0.7500 0.9696
0.4150 0.7500 0.4252
0.4881 0.7500 0.2022
0.5119 0.2500 0.7978
0.5850 0.2500 0.5748
0.6050 0.2500 0.0304
0.6920 0.7500 0.3891
0.7373 0.7500 0.7352
0.7627 0.2500 0.2352
0.8080 0.2500 0.8891
0.8950 0.7500 0.5304
0.9150 0.7500 0.0748
0.9881 0.7500 0.2978
```

Most intense lines, 2θ from 15° to 90°, sorted by position:
2θ/deg, I_rel
20.9, 39
22.8, 43
24.5, 43
27.2, 99
28.3, 71
31.6, 100
37.8, 48
43.2, 47
45.2, 63
45.4, 40

---

# LiCuBi3
Calculated XRD peak list, a wavelength of 1.5418 Å. Input: a PBE-relaxed structure.
Peak positions follow from Bragg's law for the DFT cell and can differ from measured ones.

Cell and atoms:
```
LiCuBi3
1.0
3.2187 0.0000 0.0000
-0.0093 7.0080 0.0000
-0.0062 -3.4639 6.1744
Li Cu Bi
1 1 3
Direct
0.0000 0.0000 0.0000
0.5847 0.3332 0.6706
0.4952 0.6808 0.6143
0.4957 0.3918 0.0709
0.4974 0.9371 0.3233
```

Most intense lines, 2θ from 15° to 90°, sorted by position:
2θ/deg, I_rel
25.0, 69
25.2, 68
25.4, 69
27.7, 100
37.7, 51
37.8, 51
38.0, 52
38.7, 26
39.2, 25
48.2, 21

---

# Li4CuBiPd2
Calculated XRD peak list, a wavelength of 1.5418 Å. Input: a PBE-relaxed structure.
Peak positions follow from Bragg's law for the DFT cell and can differ from measured ones.

Cell and atoms:
```
Li4CuBiPd2
1.0
4.4261 0.0000 0.0000
0.0000 4.4261 0.0000
0.0000 0.0000 6.2703
Li Cu Bi Pd
4 1 1 2
Direct
0.0000 0.0000 0.0000
0.0000 0.5000 0.2153
0.5000 0.0000 0.7847
0.5000 0.5000 0.5000
0.5000 0.5000 0.0000
0.0000 0.0000 0.5000
0.0000 0.5000 0.7748
0.5000 0.0000 0.2252
```

Most intense lines, 2θ from 15° to 90°, sorted by position:
2θ/deg, I_rel
20.1, 13
24.6, 100
32.0, 14
35.1, 8
40.7, 91
48.2, 48
59.0, 10
64.9, 19
74.2, 29
88.3, 9

---

# Lu2CuBi
Calculated XRD peak list, a wavelength of 1.5418 Å. Input: a PBE-relaxed structure.
Peak positions follow from Bragg's law for the DFT cell and can differ from measured ones.

Cell and atoms:
```
Lu2CuBi
1.0
0.0000 3.6710 3.6710
3.6710 0.0000 3.6710
3.6710 3.6710 0.0000
Lu Cu Bi
2 1 1
Direct
0.0000 0.0000 0.0000
0.2500 0.2500 0.2500
0.7500 0.7500 0.7500
0.5000 0.5000 0.5000
```

Most intense lines, 2θ from 15° to 90°, sorted by position:
2θ/deg, I_rel
21.0, 7
24.2, 6
34.6, 100
40.8, 4
42.7, 2
49.7, 18
56.0, 3
61.9, 37
72.9, 12
83.2, 17

---

# CuBiMo4N2
Calculated XRD peak list, a wavelength of 1.5418 Å. Input: a PBE-relaxed structure.
Peak positions follow from Bragg's law for the DFT cell and can differ from measured ones.

Cell and atoms:
```
CuBiMo4N2
1.0
3.2492 0.0000 0.0000
-1.6246 2.8139 0.0000
0.0000 0.0000 12.6828
Cu Bi Mo N
1 1 4 2
Direct
0.0000 0.0000 0.0000
0.3333 0.6667 0.5000
0.0000 0.0000 0.3044
0.0000 0.0000 0.6956
0.3333 0.6667 0.1460
0.3333 0.6667 0.8540
0.6667 0.3333 0.2355
0.6667 0.3333 0.7645
```

Most intense lines, 2θ from 15° to 90°, sorted by position:
2θ/deg, I_rel
31.8, 30
34.9, 20
35.4, 8
38.4, 100
42.8, 10
54.3, 12
56.7, 25
67.9, 9
70.5, 16
73.5, 12

---

# TbNdCu2Bi4
Calculated XRD peak list, a wavelength of 1.5418 Å. Input: a PBE-relaxed structure.
Peak positions follow from Bragg's law for the DFT cell and can differ from measured ones.

Cell and atoms:
```
TbNdCu2Bi4
1.0
4.5586 0.0000 0.0000
0.0000 4.5586 0.0000
0.0000 0.0000 9.7653
Tb Nd Cu Bi
1 1 2 4
Direct
0.0000 0.0000 0.0000
0.5000 0.5000 0.5282
0.0000 0.5000 0.7712
0.5000 0.0000 0.7712
0.0000 0.0000 0.6072
0.0000 0.5000 0.2612
0.5000 0.0000 0.2612
0.5000 0.5000 0.9334
```

Most intense lines, 2θ from 15° to 90°, sorted by position:
2θ/deg, I_rel
26.8, 16
27.4, 22
29.2, 34
33.3, 100
39.5, 47
48.8, 19
50.9, 12
57.2, 16
66.3, 11
67.8, 26

---

# CuNiBiS3
Calculated XRD peak list, a wavelength of 1.5418 Å. Input: a PBE-relaxed structure.
Peak positions follow from Bragg's law for the DFT cell and can differ from measured ones.

Cell and atoms:
```
CuNiBiS3
1.0
4.9033 0.0000 0.0000
0.0000 7.5822 0.0000
0.0000 0.0000 12.4146
Cu Ni Bi S
4 4 4 12
Direct
0.0198 0.1159 0.4383
0.4802 0.8841 0.9383
0.5198 0.3841 0.5617
0.9802 0.6159 0.0617
0.0040 0.6342 0.7493
0.4960 0.3658 0.2493
0.5040 0.8658 0.2507
0.9960 0.1342 0.7507
0.0852 0.1176 0.1337
0.4148 0.8824 0.6337
0.5852 0.3824 0.8663
0.9148 0.6176 0.3663
0.2163 0.3833 0.7040
0.2220 0.6382 0.9064
0.2243 0.1294 0.9066
0.2757 0.8706 0.4066
0.2780 0.3618 0.4064
0.2837 0.6167 0.2040
0.7163 0.1167 0.2960
0.7220 0.8618 0.0936
0.7243 0.3706 0.0934
0.7757 0.6294 0.5934
0.7780 0.1382 0.5936
0.7837 0.8833 0.7960
```

Most intense lines, 2θ from 15° to 90°, sorted by position:
2θ/deg, I_rel
18.5, 30
24.5, 40
26.0, 23
28.2, 59
29.8, 100
30.6, 70
32.0, 22
41.9, 19
48.0, 24
49.4, 33

---

# CuBiP2Se6
Calculated XRD peak list, a wavelength of 1.5418 Å. Input: a PBE-relaxed structure.
Peak positions follow from Bragg's law for the DFT cell and can differ from measured ones.

Cell and atoms:
```
CuBiP2Se6
1.0
6.6091 0.0000 0.0000
-3.3045 5.7236 0.0000
0.0000 0.0000 13.7419
Cu Bi P Se
2 2 4 12
Direct
0.0000 0.0000 0.2500
0.0000 0.0000 0.7500
0.3333 0.6667 0.2500
0.6667 0.3333 0.7500
0.3333 0.6667 0.6668
0.3333 0.6667 0.8332
0.6667 0.3333 0.1668
0.6667 0.3333 0.3332
0.0305 0.3252 0.8766
0.0305 0.7054 0.6234
0.2946 0.3252 0.6234
0.2946 0.9695 0.8766
0.3252 0.0305 0.3766
0.3252 0.2946 0.1234
0.6748 0.7054 0.8766
0.6748 0.9695 0.6234
0.7054 0.0305 0.1234
0.7054 0.6748 0.3766
0.9695 0.2946 0.3766
0.9695 0.6748 0.1234
```

Most intense lines, 2θ from 15° to 90°, sorted by position:
2θ/deg, I_rel
16.8, 14
24.9, 27
30.0, 100
31.9, 14
36.3, 15
37.8, 48
47.7, 30
48.4, 20
57.4, 13
74.3, 12

---

# Cu4Bi5PbS11
Calculated XRD peak list, a wavelength of 1.5418 Å. Input: a PBE-relaxed structure.
Peak positions follow from Bragg's law for the DFT cell and can differ from measured ones.

Cell and atoms:
```
Cu4Bi5PbS11
1.0
8.9187 -1.9589 0.0000
8.9187 1.9589 0.0000
-1.1192 0.0000 27.2932
Cu Bi Pb S
8 10 2 22
Direct
0.0088 0.0088 0.2698
0.1307 0.1307 0.9234
0.1989 0.1989 0.2828
0.2945 0.2945 0.4761
0.7055 0.7055 0.5239
0.8011 0.8011 0.7172
0.8693 0.8693 0.0766
0.9912 0.9912 0.7302
0.1258 0.1258 0.6474
0.1842 0.1842 0.0536
0.3309 0.3309 0.2060
0.3720 0.3720 0.6009
0.4438 0.4438 0.8443
0.5562 0.5562 0.1557
0.6280 0.6280 0.3991
0.6691 0.6691 0.7940
0.8158 0.8158 0.9464
0.8742 0.8742 0.3526
0.0000 0.0000 0.5000
0.5000 0.5000 0.0000
0.0384 0.0384 0.0745
0.0961 0.0961 0.8434
0.0995 0.0995 0.3335
0.1071 0.1071 0.2158
0.1609 0.1609 0.4867
0.2324 0.2324 0.7215
0.2920 0.2920 0.3923
0.3010 0.3010 0.8773
0.3458 0.3458 0.0334
0.4401 0.4401 0.2733
0.4881 0.4881 0.4203
0.5119 0.5119 0.5797
0.5599 0.5599 0.7267
0.6542 0.6542 0.9666
0.6990 0.6990 0.1227
0.7080 0.7080 0.6077
0.7676 0.7676 0.2785
0.8391 0.8391 0.5133
0.8929 0.8929 0.7842
0.9005 0.9005 0.6665
0.9039 0.9039 0.1566
0.9616 0.9616 0.9255
```

Most intense lines, 2θ from 15° to 90°, sorted by position:
2θ/deg, I_rel
24.3, 69
25.3, 52
27.4, 45
27.6, 38
28.6, 100
28.8, 51
32.9, 50
41.4, 31
42.6, 35
46.3, 63

---

# Cu2Bi8Pb6S19
Calculated XRD peak list, a wavelength of 1.5418 Å. Input: a PBE-relaxed structure.
Peak positions follow from Bragg's law for the DFT cell and can differ from measured ones.

Cell and atoms:
```
Cu2Bi8Pb6S19
1.0
14.0324 -2.0327 0.0000
14.0324 2.0327 0.0000
-13.8760 0.0000 15.7819
Cu Bi Pb S
2 8 6 19
Direct
0.0497 0.0497 0.0893
0.9503 0.9503 0.9107
0.1745 0.1745 0.8947
0.3018 0.3018 0.7080
0.3360 0.3360 0.5381
0.3548 0.3548 0.9570
0.6452 0.6452 0.0430
0.6640 0.6640 0.4619
0.6982 0.6982 0.2920
0.8255 0.8255 0.1053
0.0095 0.0095 0.4088
0.0311 0.0311 0.2211
0.3545 0.3545 0.3450
0.6455 0.6455 0.6550
0.9689 0.9689 0.7789
0.9905 0.9905 0.5912
0.0636 0.0636 0.9936
0.1254 0.1254 0.7260
0.1576 0.1576 0.5473
0.1767 0.1767 0.3748
0.2163 0.2163 0.2225
0.2388 0.2388 0.0673
0.4023 0.4023 0.1160
0.4262 0.4262 0.8389
0.4592 0.4592 0.6658
0.5000 0.5000 0.5000
0.5408 0.5408 0.3342
0.5738 0.5738 0.1611
0.5977 0.5977 0.8840
0.7612 0.7612 0.9327
0.7837 0.7837 0.7775
0.8233 0.8233 0.6252
0.8424 0.8424 0.4527
0.8746 0.8746 0.2740
0.9364 0.9364 0.0064
```

Most intense lines, 2θ from 15° to 90°, sorted by position:
2θ/deg, I_rel
23.5, 64
25.3, 100
26.1, 40
27.2, 22
27.7, 22
29.5, 25
30.7, 77
42.6, 24
43.5, 26
44.6, 38